No. 1
Calculated powder X-ray diffraction pattern
Compound: K3B2PbO6
Radiation: a wavelength of 1.5418 Å
Structure: DFT lattice parameters and positions (GGA-PBE)
Intensities are scaled so that the largest is 100.

Top 10 peaks for 2θ = 15–90°, in order of rising 2θ:
Position (°2θ)  Rel. int.
18.22  79
22.18  67
31.29  100
31.84  55
34.34  24
39.14  26
45.24  45
51.31  19
56.38  28
75.35  19

Structural model:
```
K3B2PbO6
1.0
5.6217 0.0000 0.0000
-2.8108 4.8685 0.0000
0.0000 0.0000 7.0623
K B Pb O
3 2 1 6
Direct
0.0000 0.0000 0.0000 K
0.3333 0.6667 0.7479 K
0.6667 0.3333 0.2521 K
0.3333 0.6667 0.2909 B
0.6667 0.3333 0.7091 B
0.0000 0.0000 0.5000 Pb
0.1900 0.3800 0.2833 O
0.1900 0.8100 0.2833 O
0.3800 0.1900 0.7167 O
0.6200 0.8100 0.2833 O
0.8100 0.1900 0.7167 O
0.8100 0.6200 0.7167 O
```



No. 2
Calculated powder X-ray diffraction pattern
Compound: CsTe2S3
Radiation: a wavelength of 1.5418 Å
Structure: DFT lattice parameters and positions (GGA-PBE)
Intensities are scaled so that the largest is 100.

Top 10 peaks for 2θ = 15–90°, in order of rising 2θ:
Position (°2θ)  Rel. int.
15.76  84
20.75  100
23.13  47
26.07  53
28.10  89
29.35  57
33.61  93
39.77  92
45.13  38
54.76  33

Structural model:
```
CsTe2S3
1.0
6.0256 -6.0852 0.0000
6.0256 6.0852 0.0000
0.0000 0.0000 7.4577
Cs Te S
2 4 6
Direct
0.2160 0.7840 0.7500 Cs
0.7840 0.2160 0.2500 Cs
0.3304 0.3304 0.0000 Te
0.3304 0.3304 0.5000 Te
0.6696 0.6696 0.0000 Te
0.6696 0.6696 0.5000 Te
0.1776 0.1928 0.7500 S
0.1928 0.1776 0.2500 S
0.4948 0.5052 0.2500 S
0.5052 0.4948 0.7500 S
0.8072 0.8224 0.7500 S
0.8224 0.8072 0.2500 S
```



No. 3
Calculated powder X-ray diffraction pattern
Compound: CaY2BeO5
Radiation: a wavelength of 1.5418 Å
Structure: DFT lattice parameters and positions (GGA-PBE)
Intensities are scaled so that the largest is 100.

Top 10 peaks for 2θ = 15–90°, in order of rising 2θ:
Position (°2θ)  Rel. int.
21.16  20
29.64  19
30.75  52
32.11  100
32.36  31
39.50  35
41.34  30
43.09  24
47.00  25
52.42  18

Structural model:
```
CaY2BeO5
1.0
9.2928 0.0000 0.0000
0.0000 6.3713 0.0000
0.0000 0.0000 6.9822
Ca Y Be O
4 8 4 20
Direct
0.1763 0.0802 0.0000 Ca
0.3237 0.5802 0.5000 Ca
0.6763 0.4198 0.0000 Ca
0.8237 0.9198 0.5000 Ca
0.0212 0.5961 0.7645 Y
0.1743 0.0693 0.5452 Y
0.3257 0.5693 0.0452 Y
0.4788 0.0961 0.2645 Y
0.5212 0.9039 0.7645 Y
0.6743 0.4307 0.5452 Y
0.8257 0.9307 0.0452 Y
0.9788 0.4039 0.2645 Y
0.1036 0.8051 0.2661 Be
0.3964 0.3051 0.7661 Be
0.6036 0.6949 0.2661 Be
0.8964 0.1949 0.7661 Be
0.0096 0.0216 0.2680 O
0.0728 0.6918 0.4649 O
0.0740 0.6797 0.0714 O
0.2190 0.3617 0.7667 O
0.2222 0.3351 0.2659 O
0.2778 0.8351 0.7659 O
0.2810 0.8617 0.2667 O
0.4260 0.1797 0.5714 O
0.4272 0.1918 0.9649 O
0.4904 0.5216 0.7680 O
0.5096 0.4784 0.2680 O
0.5728 0.8082 0.4649 O
0.5740 0.8203 0.0714 O
0.7190 0.1383 0.7667 O
0.7222 0.1649 0.2659 O
0.7778 0.6649 0.7659 O
0.7810 0.6383 0.2667 O
0.9260 0.3203 0.5714 O
0.9272 0.3082 0.9649 O
0.9904 0.9784 0.7680 O
```



No. 4
Calculated powder X-ray diffraction pattern
Compound: Ge4PtRh7
Radiation: a wavelength of 1.5418 Å
Structure: DFT lattice parameters and positions (GGA-PBE)
Intensities are scaled so that the largest is 100.

Top 10 peaks for 2θ = 15–90°, in order of rising 2θ:
Position (°2θ)  Rel. int.
38.68  100
38.89  67
39.00  88
39.92  82
40.76  33
42.90  24
43.66  28
47.59  40
48.75  33
51.48  27

Structural model:
```
Ge4PtRh7
1.0
4.7888 0.0000 0.0000
0.0248 5.3509 0.0000
0.4880 0.8999 6.9816
Ge Pt Rh
4 1 7
Direct
0.2107 0.0031 0.2183 Ge
0.2676 0.6418 0.7947 Ge
0.7324 0.3582 0.2053 Ge
0.7893 0.9969 0.7817 Ge
0.5000 0.5000 0.5000 Pt
0.0075 0.2562 0.4942 Rh
0.2360 0.5326 0.1367 Rh
0.2746 0.1128 0.8746 Rh
0.5000 0.0000 0.5000 Rh
0.7254 0.8872 0.1254 Rh
0.7640 0.4674 0.8633 Rh
0.9925 0.7438 0.5058 Rh
```



No. 5
Calculated powder X-ray diffraction pattern
Compound: UInFe
Radiation: a wavelength of 1.5418 Å
Structure: DFT lattice parameters and positions (GGA-PBE)
Intensities are scaled so that the largest is 100.

Top 10 peaks for 2θ = 15–90°, in order of rising 2θ:
Position (°2θ)  Rel. int.
26.72  54
31.77  26
32.12  85
34.44  60
34.64  100
36.28  69
36.44  73
38.00  27
38.96  42
40.55  31

Structural model:
```
UInFe
1.0
2.9195 0.0000 0.0000
-1.3634 5.7583 0.0000
-0.5282 -1.7359 6.6738
U In Fe
2 2 2
Direct
0.1095 0.2212 0.4760 U
0.8905 0.7788 0.5240 U
0.2705 0.7947 0.1011 In
0.7295 0.2053 0.8989 In
0.3755 0.3888 0.2439 Fe
0.6245 0.6112 0.7561 Fe
```



No. 6
Calculated powder X-ray diffraction pattern
Compound: LiHo2TmIn4
Radiation: a wavelength of 1.5418 Å
Structure: DFT lattice parameters and positions (GGA-PBE)
Intensities are scaled so that the largest is 100.

Top 10 peaks for 2θ = 15–90°, in order of rising 2θ:
Position (°2θ)  Rel. int.
20.11  11
34.23  100
34.67  98
49.52  35
61.01  18
61.86  35
62.13  18
73.15  11
82.56  15
83.30  15

Structural model:
```
LiHo2TmIn4
1.0
2.5875 1.4939 8.6085
-2.5875 1.4939 8.6085
0.0000 -2.9878 8.6085
Li Ho Tm In
1 2 1 4
Direct
0.0000 0.0000 0.0000 Li
0.2533 0.2533 0.2533 Ho
0.7467 0.7467 0.7467 Ho
0.5000 0.5000 0.5000 Tm
0.1232 0.1232 0.1232 In
0.3736 0.3736 0.3736 In
0.6264 0.6264 0.6264 In
0.8768 0.8768 0.8768 In
```



No. 7
Calculated powder X-ray diffraction pattern
Compound: Li3NbF6
Radiation: a wavelength of 1.5418 Å
Structure: DFT lattice parameters and positions (GGA-PBE)
Intensities are scaled so that the largest is 100.

Top 10 peaks for 2θ = 15–90°, in order of rising 2θ:
Position (°2θ)  Rel. int.
17.96  75
19.92  48
21.00  44
21.55  100
34.64  15
37.88  14
42.74  18
43.85  18
43.97  17
45.54  15

Structural model:
```
Li3NbF6
1.0
5.6384 0.0000 0.0000
2.3539 5.2091 0.0000
2.3692 1.6574 4.9460
Li Nb F
3 1 6
Direct
0.0000 0.0000 0.0000 Li
0.0000 0.0000 0.5000 Li
0.0000 0.5000 0.0000 Li
0.5000 0.5000 0.5000 Nb
0.1989 0.7552 0.7542 F
0.2232 0.7679 0.2819 F
0.2289 0.2762 0.7750 F
0.7711 0.7238 0.2250 F
0.7768 0.2321 0.7181 F
0.8011 0.2448 0.2458 F
```